Computed XRD peak list of HoAgPd14 for Cu Kα (λ = 1.5418 Å), from the GGA-PBE geometry in Alexandria.
Kinematic intensities with the Lorentz-polarization factor, no thermal factor.

Cell and atoms:
Unit cell a=5.6499 b=5.6499 c=8.0500 alpha=90.00 beta=90.00 gamma=90.00
Fractional positions:
Ho 0.0000 0.0000 0.0000
Ag 0.5000 0.5000 0.0000
Pd 0.0000 0.0000 0.5000
Pd 0.0000 0.5000 0.0000
Pd 0.0000 0.5000 0.5000
Pd 0.2508 0.2508 0.2553
Pd 0.2508 0.2508 0.7447
Pd 0.2508 0.7492 0.2553
Pd 0.2508 0.7492 0.7447
Pd 0.5000 0.0000 0.0000
Pd 0.5000 0.0000 0.5000
Pd 0.5000 0.5000 0.5000
Pd 0.7492 0.2508 0.2553
Pd 0.7492 0.2508 0.7447
Pd 0.7492 0.7492 0.2553
Pd 0.7492 0.7492 0.7447

Principal peaks in the range 10 to 90 degrees two-theta, low angle first:
(hkl)	2θ (°)	Rel. int.
2 0 2	39.0	100
0 0 4	45.0	16
2 2 0	45.4	32
2 2 4	65.9	20
4 0 0	66.2	10
2 0 6	79.0	12
4 2 2	79.5	24
4 0 4	83.6	11